Record 1
Structure and computed powder diffractogram of Ho6AgGe2S14 (a crystal structure in Alexandria, relaxed with PBE; Cu Kα X-rays).
Neutral-atom scattering factors, no anomalous dispersion.

The 12 most intense peaks (10 to 90 degrees two-theta), low angle first:
Position (°2θ), d (Å), Rel. int., hkl
18.47, 4.803, 218, 1 0 1
20.93, 4.244, 212, 2 0 0
23.73, 3.750, 237, 1 1 1
25.98, 3.430, 1000, 2 0 1
27.81, 3.208, 188, 1 2 0
35.87, 2.504, 187, 2 -1 2
36.67, 2.450, 455, 2 2 0
37.45, 2.401, 374, 0 2 2
38.23, 2.354, 236, 1 3 0
41.37, 2.183, 239, 4 -3 1
41.89, 2.156, 174, 3 -1 2
51.79, 1.765, 358, 5 -1 1

Atomic structure:
```
data_Ho6AgGe2S14
_chemical_formula_sum 'Ho6 Ag1 Ge2 S14'
_symmetry_space_group_name_H-M 'P 3'
_symmetry_Int_Tables_number 143
_cell_length_a 9.8018
_cell_length_b 9.8018
_cell_length_c 5.8243
_cell_angle_alpha 90.00
_cell_angle_beta 90.00
_cell_angle_gamma 120.00
loop_
_symmetry_equiv_pos_as_xyz
'x,y,z'
'-y,x-y,z'
'-x+y,-x,z'
loop_
_atom_site_label
_atom_site_fract_x
_atom_site_fract_y
_atom_site_fract_z
_atom_site_occupancy
Ho1 0.0233 0.5532 0.0000 1
Ho2 0.3090 0.1117 0.4995 1
Ag1 0.6667 0.3333 0.7073 1
Ge1 0.0000 0.0000 0.0750 1
Ge2 0.3333 0.6667 0.5819 1
S1 0.0000 0.0000 0.6959 1
S2 0.0898 0.8527 0.2388 1
S3 0.1867 0.4296 0.7450 1
S4 0.3333 0.6667 0.2024 1
S5 0.4051 0.1763 0.9505 1
S6 0.5065 0.4348 0.4569 1
```

=====

Record 2
Structure and computed powder diffractogram of LaTb12Pm5 (a crystal structure in Alexandria, relaxed with PBE; Cu Kα X-rays).
Neutral-atom scattering factors, no anomalous dispersion.

The 12 most intense peaks (10 to 90 degrees two-theta), low angle first:
Position (°2θ), d (Å), Rel. int., hkl
29.77, 3.001, 238, 0 0 2
30.84, 2.899, 301, 0 6 0
31.74, 2.820, 1000, 3 3 1
34.55, 2.596, 144, 1 3 2
43.40, 2.085, 170, 0 6 2
47.52, 1.913, 80, 6 0 0
54.08, 1.696, 110, 3 3 3
55.41, 1.658, 206, 3 9 1
57.73, 1.597, 89, 6 6 0
64.67, 1.441, 53, 1 3 4
78.40, 1.220, 57, 9 3 1
89.89, 1.091, 55, 3 15 1

Atomic structure:
```
data_LaTb12Pm5
_chemical_formula_sum 'La2 Tb24 Pm10'
_symmetry_space_group_name_H-M 'C 1 2/m 1'
_symmetry_Int_Tables_number 12
_cell_length_a 11.480
_cell_length_b 17.395
_cell_length_c 6.003
_cell_angle_alpha 90.00
_cell_angle_beta 90.11
_cell_angle_gamma 90.00
loop_
_symmetry_equiv_pos_as_xyz
'x,y,z'
'-x,-y,-z'
'-x,y,-z'
'x,-y,z'
'x+1/2,y+1/2,z'
'-x+1/2,-y+1/2,-z'
'-x+1/2,y+1/2,-z'
'x+1/2,-y+1/2,z'
loop_
_atom_site_label
_atom_site_fract_x
_atom_site_fract_y
_atom_site_fract_z
_atom_site_occupancy
La1 0.000 0.000 0.000 1
Tb1 0.173 0.500 0.950 1
Tb2 0.177 0.333 0.556 1
Tb3 0.180 0.000 0.550 1
Tb4 0.180 0.167 0.943 1
Pm1 0.000 0.167 0.500 1
Pm2 0.000 0.330 0.000 1
Pm3 0.000 0.500 0.500 1
```